(1)
Theoretical powder XRD pattern of Cu3ReSe2S2 for copper Kα, from a crystal structure in OQMD, relaxed with PBE.
Kinematic intensities with the Lorentz-polarization factor, no thermal factor.

Crystal structure
a = 11.813 Å, b = 5.481 Å, c = 5.480 Å
α = 90.00°, β = 116.84°, γ = 90.00°
Positions (direct):
Cu (0.000, 0.000, 0.000)
Cu (0.250, 0.028, 0.724)
Cu (0.250, 0.528, 0.276)
Cu (0.500, 0.500, 0.000)
Cu (0.750, 0.028, 0.276)
Cu (0.750, 0.528, 0.724)
Re (0.000, 0.544, 0.500)
Re (0.500, 0.044, 0.500)
Se (0.125, 0.285, 0.872)
Se (0.375, 0.785, 0.128)
Se (0.625, 0.785, 0.872)
Se (0.875, 0.285, 0.128)
S (0.123, 0.775, 0.380)
S (0.377, 0.275, 0.620)
S (0.623, 0.275, 0.380)
S (0.877, 0.775, 0.620)

Most intense lines, 2θ from 10° to 90°, low angle first:
2theta	d (Å)	intensity
18.2	4.867	26
18.4	4.834	18
28.5	3.137	100
28.7	3.108	99
37.6	2.391	14
46.9	1.938	45
47.5	1.912	22
47.9	1.899	43
48.2	1.886	21
55.8	1.649	14
57.4	1.606	14
57.8	1.594	15

(2)
Theoretical powder XRD pattern of Tl3Cu3Re2S8 for copper Kα, from a crystal structure in OQMD, relaxed with PBE.
Kinematic intensities with the Lorentz-polarization factor, no thermal factor.

Crystal structure
a = 10.155 Å, b = 10.155 Å, c = 7.318 Å
α = 95.71°, β = 95.71°, γ = 31.55°
Positions (direct):
Tl (0.000, 0.000, 0.000)
Tl (0.332, 0.305, 0.793)
Tl (0.695, 0.668, 0.207)
Cu (0.116, 0.633, 0.321)
Cu (0.367, 0.884, 0.679)
Cu (0.743, 0.257, 0.500)
Re (0.610, 0.130, 0.311)
Re (0.870, 0.390, 0.689)
S (0.065, 0.127, 0.440)
S (0.152, 0.179, 0.924)
S (0.282, 0.285, 0.369)
S (0.470, 0.449, 0.242)
S (0.551, 0.530, 0.758)
S (0.715, 0.718, 0.631)
S (0.821, 0.848, 0.076)
S (0.873, 0.935, 0.560)

Most intense lines, 2θ from 10° to 90°, low angle first:
2theta	d (Å)	intensity
21.0	4.234	66
21.1	4.203	93
23.0	3.862	54
23.7	3.750	42
25.2	3.531	99
27.5	3.240	42
29.0	3.081	61
29.7	3.008	52
30.2	2.963	100
32.2	2.779	45
35.7	2.518	74
52.2	1.752	52

(3)
Theoretical powder XRD pattern of ZnCuReSn for copper Kα, from a crystal structure in OQMD, relaxed with PBE.
Kinematic intensities with the Lorentz-polarization factor, no thermal factor.

Crystal structure
a = 6.319 Å, b = 6.319 Å, c = 6.319 Å
α = 90.00°, β = 90.00°, γ = 90.00°
Positions (direct):
Zn (0.000, 0.000, 0.000)
Zn (0.000, 0.500, 0.500)
Zn (0.500, 0.000, 0.500)
Zn (0.500, 0.500, 0.000)
Cu (0.250, 0.250, 0.750)
Cu (0.250, 0.750, 0.250)
Cu (0.750, 0.250, 0.250)
Cu (0.750, 0.750, 0.750)
Re (0.250, 0.250, 0.250)
Re (0.250, 0.750, 0.750)
Re (0.750, 0.250, 0.750)
Re (0.750, 0.750, 0.250)
Sn (0.000, 0.000, 0.500)
Sn (0.000, 0.500, 0.000)
Sn (0.500, 0.000, 0.000)
Sn (0.500, 0.500, 0.500)

Most intense lines, 2θ from 10° to 90°, low angle first:
2theta	d (Å)	intensity
24.4	3.648	19
28.2	3.160	2
40.4	2.234	100
47.7	1.905	10
50.0	1.824	1
58.4	1.580	17
64.3	1.450	4
66.1	1.413	1
73.4	1.290	34
78.7	1.216	4
87.3	1.117	11

(4)
Theoretical powder XRD pattern of Cu9S8 for copper Kα, from a crystal structure in OQMD, relaxed with PBE.
Kinematic intensities with the Lorentz-polarization factor, no thermal factor.

Crystal structure
a = 7.358 Å, b = 7.358 Å, c = 7.358 Å
α = 60.00°, β = 60.00°, γ = 60.00°
Positions (direct):
Cu (0.000, 0.000, 0.000)
Cu (0.115, 0.628, 0.628)
Cu (0.372, 0.372, 0.372)
Cu (0.372, 0.372, 0.885)
Cu (0.372, 0.885, 0.372)
Cu (0.628, 0.115, 0.628)
Cu (0.628, 0.628, 0.115)
Cu (0.628, 0.628, 0.628)
Cu (0.885, 0.372, 0.372)
S (0.242, 0.242, 0.758)
S (0.242, 0.758, 0.242)
S (0.242, 0.758, 0.758)
S (0.250, 0.250, 0.250)
S (0.750, 0.750, 0.750)
S (0.758, 0.242, 0.242)
S (0.758, 0.242, 0.758)
S (0.758, 0.758, 0.242)

Most intense lines, 2θ from 10° to 90°, low angle first:
2theta	d (Å)	intensity
14.7	6.008	22
28.4	3.138	91
29.7	3.004	15
34.5	2.602	9
37.7	2.387	16
45.3	2.003	32
49.6	1.840	100
58.1	1.587	11
69.4	1.355	19
72.7	1.301	14
79.8	1.202	9
89.9	1.091	5

(5)
Theoretical powder XRD pattern of Cu3SbSe3S for copper Kα, from a crystal structure in OQMD, relaxed with PBE.
Kinematic intensities with the Lorentz-polarization factor, no thermal factor.

Crystal structure
a = 7.973 Å, b = 7.975 Å, c = 6.885 Å
α = 90.00°, β = 125.37°, γ = 90.00°
Positions (direct):
Cu (0.000, 0.000, 0.000)
Cu (0.478, 0.239, 0.478)
Cu (0.478, 0.761, 0.478)
Cu (0.500, 0.500, 0.000)
Cu (0.978, 0.261, 0.478)
Cu (0.978, 0.739, 0.478)
Sb (0.478, 0.000, 0.994)
Sb (0.978, 0.500, 0.994)
Se (0.350, 0.268, 0.721)
Se (0.350, 0.732, 0.721)
Se (0.384, 0.500, 0.258)
Se (0.850, 0.232, 0.721)
Se (0.850, 0.768, 0.721)
Se (0.884, 0.000, 0.258)
S (0.350, 0.000, 0.256)
S (0.850, 0.500, 0.256)

Most intense lines, 2θ from 10° to 90°, low angle first:
2theta	d (Å)	intensity
27.4	3.251	100
28.6	3.118	5
36.5	2.460	6
45.5	1.994	23
45.6	1.989	46
54.0	1.699	27
54.1	1.694	13
66.3	1.410	7
73.2	1.293	5
73.3	1.291	10
84.2	1.150	13
84.4	1.148	6

(6)
Theoretical powder XRD pattern of Cu3SbSeS3 for copper Kα, from a crystal structure in OQMD, relaxed with PBE.
Kinematic intensities with the Lorentz-polarization factor, no thermal factor.

Crystal structure
a = 7.754 Å, b = 7.758 Å, c = 6.696 Å
α = 90.00°, β = 125.26°, γ = 90.00°
Positions (direct):
Cu (0.000, 0.000, 0.000)
Cu (0.022, 0.239, 0.522)
Cu (0.022, 0.761, 0.522)
Cu (0.500, 0.500, 0.000)
Cu (0.522, 0.261, 0.522)
Cu (0.522, 0.739, 0.522)
Sb (0.022, 0.500, 0.005)
Sb (0.522, 0.000, 0.005)
Se (0.384, 0.000, 0.279)
Se (0.884, 0.500, 0.279)
S (0.383, 0.264, 0.745)
S (0.383, 0.736, 0.745)
S (0.415, 0.500, 0.276)
S (0.883, 0.236, 0.745)
S (0.883, 0.764, 0.745)
S (0.915, 0.000, 0.276)

Most intense lines, 2θ from 10° to 90°, low angle first:
2theta	d (Å)	intensity
28.2	3.163	100
29.4	3.037	5
32.7	2.742	6
37.6	2.393	6
46.9	1.938	42
47.0	1.935	21
55.6	1.653	27
55.7	1.649	13
68.4	1.371	6
75.6	1.258	10
87.1	1.119	9
87.2	1.118	7

(7)
Theoretical powder XRD pattern of Cu12Sb4Se12S for copper Kα, from a crystal structure in OQMD, relaxed with PBE.
Kinematic intensities with the Lorentz-polarization factor, no thermal factor.

Crystal structure
a = 9.362 Å, b = 9.362 Å, c = 9.362 Å
α = 109.47°, β = 109.47°, γ = 109.47°
Positions (direct):
Cu (0.000, 0.211, 0.211)
Cu (0.000, 0.789, 0.789)
Cu (0.211, 0.000, 0.211)
Cu (0.211, 0.211, 0.000)
Cu (0.250, 0.500, 0.750)
Cu (0.250, 0.750, 0.500)
Cu (0.500, 0.250, 0.750)
Cu (0.500, 0.750, 0.250)
Cu (0.750, 0.250, 0.500)
Cu (0.750, 0.500, 0.250)
Cu (0.789, 0.000, 0.789)
Cu (0.789, 0.789, 0.000)
Sb (0.000, 0.000, 0.549)
Sb (0.000, 0.549, 0.000)
Sb (0.451, 0.451, 0.451)
Sb (0.549, 0.000, 0.000)
Se (0.000, 0.249, 0.478)
Se (0.000, 0.478, 0.249)
Se (0.229, 0.751, 0.751)
Se (0.249, 0.000, 0.478)
Se (0.249, 0.478, 0.000)
Se (0.478, 0.000, 0.249)
Se (0.478, 0.249, 0.000)
Se (0.522, 0.522, 0.771)
Se (0.522, 0.771, 0.522)
Se (0.751, 0.229, 0.751)
Se (0.751, 0.751, 0.229)
Se (0.771, 0.522, 0.522)
S (0.000, 0.000, 0.000)

Most intense lines, 2θ from 10° to 90°, low angle first:
2theta	d (Å)	intensity
28.6	3.121	100
31.0	2.889	17
35.2	2.548	17
42.6	2.120	13
46.0	1.974	10
47.6	1.911	60
52.2	1.754	13
56.5	1.630	28
73.3	1.292	7
75.7	1.257	8
76.9	1.240	10
88.6	1.103	10

(8)
Theoretical powder XRD pattern of CuSeS for copper Kα, from a crystal structure in OQMD, relaxed with PBE.
Kinematic intensities with the Lorentz-polarization factor, no thermal factor.

Crystal structure
a = 4.867 Å, b = 3.717 Å, c = 6.084 Å
α = 90.00°, β = 90.11°, γ = 90.00°
Positions (direct):
Cu (0.000, 0.000, 0.000)
Cu (0.500, 0.500, 0.500)
Se (0.189, 0.000, 0.382)
Se (0.811, 0.000, 0.618)
S (0.330, 0.500, 0.901)
S (0.670, 0.500, 0.099)

Most intense lines, 2θ from 10° to 90°, low angle first:
2theta	d (Å)	intensity
14.6	6.084	19
23.4	3.804	31
29.4	3.042	31
30.3	2.954	100
33.7	2.657	51
34.8	2.580	53
42.7	2.118	47
47.1	1.931	70
49.0	1.858	31
51.3	1.780	28
54.9	1.672	20
58.9	1.567	24

(9)
Theoretical powder XRD pattern of CuSeS for copper Kα, from a crystal structure in OQMD, relaxed with PBE.
Kinematic intensities with the Lorentz-polarization factor, no thermal factor.

Crystal structure
a = 3.690 Å, b = 4.887 Å, c = 6.027 Å
α = 90.00°, β = 90.00°, γ = 90.00°
Positions (direct):
Cu (0.000, 0.224, 0.000)
Cu (0.500, 0.776, 0.500)
Se (0.000, 0.433, 0.611)
Se (0.500, 0.567, 0.111)
S (0.000, 0.071, 0.391)
S (0.500, 0.929, 0.891)

Most intense lines, 2θ from 10° to 90°, low angle first:
2theta	d (Å)	intensity
29.6	3.014	40
30.4	2.945	100
33.9	2.646	70
35.0	2.565	52
42.9	2.106	35
47.1	1.930	66
49.4	1.845	30
51.8	1.765	27
54.4	1.688	20
55.4	1.660	24
58.7	1.573	34
80.2	1.197	22

(10)
Theoretical powder XRD pattern of ZnCu2SiSe3S for copper Kα, from a crystal structure in OQMD, relaxed with PBE.
Kinematic intensities with the Lorentz-polarization factor, no thermal factor.

Crystal structure
a = 7.743 Å, b = 7.802 Å, c = 6.701 Å
α = 90.00°, β = 124.86°, γ = 90.00°
Positions (direct):
Zn (0.000, 0.000, 0.000)
Zn (0.500, 0.500, 0.000)
Cu (0.016, 0.263, 0.519)
Cu (0.016, 0.737, 0.519)
Cu (0.516, 0.237, 0.519)
Cu (0.516, 0.763, 0.519)
Si (0.015, 0.500, 0.000)
Si (0.515, 0.000, 0.000)
Se (0.137, 0.263, 0.257)
Se (0.137, 0.737, 0.257)
Se (0.147, 0.000, 0.749)
Se (0.637, 0.237, 0.257)
Se (0.637, 0.763, 0.257)
Se (0.647, 0.500, 0.749)
S (0.123, 0.500, 0.761)
S (0.623, 0.000, 0.761)

Most intense lines, 2θ from 10° to 90°, low angle first:
2theta	d (Å)	intensity
28.1	3.180	100
28.3	3.154	37
46.6	1.949	48
46.9	1.938	47
55.3	1.662	13
55.4	1.658	31
55.7	1.651	11
68.2	1.374	14
75.1	1.265	7
86.5	1.125	7
86.6	1.124	9
87.3	1.116	7

(11)
Theoretical powder XRD pattern of Cu3SnSe2S2 for copper Kα, from a crystal structure in OQMD, relaxed with PBE.
Kinematic intensities with the Lorentz-polarization factor, no thermal factor.

Crystal structure
a = 12.372 Å, b = 5.542 Å, c = 5.552 Å
α = 90.00°, β = 116.60°, γ = 90.00°
Positions (direct):
Cu (0.000, 0.000, 0.000)
Cu (0.250, 0.020, 0.726)
Cu (0.250, 0.520, 0.274)
Cu (0.500, 0.500, 0.000)
Cu (0.750, 0.020, 0.274)
Cu (0.750, 0.520, 0.726)
Sn (0.000, 0.533, 0.500)
Sn (0.500, 0.033, 0.500)
Se (0.134, 0.254, 0.900)
Se (0.366, 0.754, 0.100)
Se (0.634, 0.754, 0.900)
Se (0.866, 0.254, 0.100)
S (0.131, 0.784, 0.367)
S (0.369, 0.284, 0.633)
S (0.631, 0.284, 0.367)
S (0.869, 0.784, 0.633)

Most intense lines, 2θ from 10° to 90°, low angle first:
2theta	d (Å)	intensity
17.9	4.958	6
27.9	3.199	100
29.1	3.070	7
37.1	2.420	8
46.3	1.959	67
54.9	1.672	19
55.0	1.669	22
74.6	1.272	7
74.7	1.270	8
85.8	1.132	6
85.9	1.131	10
86.1	1.130	3

(12)
Theoretical powder XRD pattern of Cu3SnSe2S2 for copper Kα, from a crystal structure in OQMD, relaxed with PBE.
Kinematic intensities with the Lorentz-polarization factor, no thermal factor.

Crystal structure
a = 6.816 Å, b = 6.789 Å, c = 5.530 Å
α = 66.27°, β = 65.77°, γ = 47.97°
Positions (direct):
Cu (0.000, 0.000, 0.000)
Cu (0.272, 0.272, 0.228)
Cu (0.772, 0.772, 0.728)
Sn (0.507, 0.507, 0.493)
Se (0.375, 0.912, 0.088)
Se (0.912, 0.375, 0.625)
S (0.116, 0.641, 0.884)
S (0.641, 0.116, 0.359)

Most intense lines, 2θ from 10° to 90°, low angle first:
2theta	d (Å)	intensity
27.8	3.212	100
28.0	3.187	94
36.3	2.476	13
46.2	1.967	22
46.3	1.961	87
46.7	1.944	22
54.8	1.674	40
55.2	1.663	28
67.8	1.382	13
74.4	1.275	16
85.6	1.134	13
86.5	1.126	14

(13)
Theoretical powder XRD pattern of TbCuSnSe2S for copper Kα, from a crystal structure in OQMD, relaxed with PBE.
Kinematic intensities with the Lorentz-polarization factor, no thermal factor.

Crystal structure
a = 7.034 Å, b = 7.034 Å, c = 10.186 Å
α = 90.00°, β = 90.00°, γ = 147.32°
Positions (direct):
Tb (0.000, 0.000, 0.000)
Tb (0.000, 0.000, 0.500)
Cu (0.475, 0.525, 0.750)
Cu (0.525, 0.475, 0.250)
Sn (0.253, 0.747, 0.250)
Sn (0.747, 0.253, 0.750)
Se (0.354, 0.646, 0.567)
Se (0.354, 0.646, 0.933)
Se (0.646, 0.354, 0.067)
Se (0.646, 0.354, 0.433)
S (0.075, 0.925, 0.750)
S (0.925, 0.075, 0.250)

Most intense lines, 2θ from 10° to 90°, low angle first:
2theta	d (Å)	intensity
21.9	4.065	46
29.3	3.045	30
29.4	3.033	21
30.1	2.972	52
31.4	2.853	64
35.0	2.567	100
35.2	2.546	35
35.5	2.531	49
44.0	2.058	33
44.3	2.043	36
44.6	2.033	32
45.9	1.979	36

(14)
Theoretical powder XRD pattern of SrTmCuSe2S for copper Kα, from a crystal structure in OQMD, relaxed with PBE.
Kinematic intensities with the Lorentz-polarization factor, no thermal factor.

Crystal structure
a = 7.006 Å, b = 7.006 Å, c = 10.210 Å
α = 90.00°, β = 90.00°, γ = 146.62°
Positions (direct):
Sr (0.239, 0.761, 0.750)
Sr (0.761, 0.239, 0.250)
Tm (0.500, 0.500, 0.000)
Tm (0.500, 0.500, 0.500)
Cu (0.027, 0.973, 0.250)
Cu (0.973, 0.027, 0.750)
Se (0.141, 0.859, 0.062)
Se (0.141, 0.859, 0.438)
Se (0.859, 0.141, 0.562)
Se (0.859, 0.141, 0.938)
S (0.430, 0.570, 0.250)
S (0.570, 0.430, 0.750)

Most intense lines, 2θ from 10° to 90°, low angle first:
2theta	d (Å)	intensity
13.2	6.711	51
21.9	4.063	36
29.0	3.076	34
29.4	3.035	21
29.9	2.992	61
31.2	2.871	48
34.8	2.581	100
35.2	2.552	67
44.2	2.047	73
44.6	2.032	24
45.1	2.012	35
59.4	1.557	18